Starting from a GGA+U-relaxed structure, the XRD peak list of Ca2ZrFeO6 was simulated for a wavelength of 1.5418 Å.
Kinematic intensities with the Lorentz-polarization factor, no thermal factor.

Principal peaks in the range 10 to 80 degrees two-theta, in order of rising 2θ:
(1 1 1), 4.610 Å, rel. 4
(2 0 0), 3.993 Å, rel. 32
(2 2 0), 2.823 Å, rel. 100
(3 1 1), 2.408 Å, rel. 4
(4 0 0), 1.996 Å, rel. 46
(4 2 0), 1.786 Å, rel. 12
(4 2 2), 1.630 Å, rel. 37
(4 4 0), 1.412 Å, rel. 25
(6 0 0), 1.331 Å, rel. 5
(6 2 0), 1.263 Å, rel. 15

Cell and atoms:
```
data_Ca2ZrFeO6
_space_group_name_H-M_alt 'F m -3 m'
_space_group_IT_number 225
_space_group_name_Hall '-F 4 2 3'
_cell_length_a 7.985
_cell_length_b 7.985
_cell_length_c 7.985
_cell_angle_alpha 90.00
_cell_angle_beta 90.00
_cell_angle_gamma 90.00
loop_
_atom_site_label
_atom_site_fract_x
_atom_site_fract_y
_atom_site_fract_z
_atom_site_occupancy
Ca1 0.250 0.250 0.250 1
Zr1 0.000 0.000 0.000 1
Fe1 0.000 0.000 0.500 1
O1 0.000 0.000 0.258 1
```